Calculated powder XRD pattern
Compound: Na17CdAg11
Radiation: CuKα
Structure: a PBE-relaxed structure
Peak positions follow from Bragg's law for the DFT cell and can differ from measured ones.

The 8 most intense peaks (10 to 90 degrees two-theta), by angle:
2θ = 11.1°, 7.938 Å, rel. 37
2θ = 19.3°, 4.608 Å, rel. 34
2θ = 19.4°, 4.575 Å, rel. 100
2θ = 33.8°, 2.655 Å, rel. 27
2θ = 33.9°, 2.645 Å, rel. 57
2θ = 37.3°, 2.408 Å, rel. 29
2θ = 37.7°, 2.388 Å, rel. 84
2θ = 40.9°, 2.204 Å, rel. 20

Structural model:
Cell lengths 9.7017, 9.7017, 9.6997 Å; angles 109.33, 109.33, 109.22 degrees
Fractional positions:
1 Na 0.0000 0.0000 0.0000
2 Na 0.0672 0.3488 0.6559
3 Na 0.0693 0.6557 0.3480
4 Na 0.2418 0.9220 0.2372
5 Na 0.2441 0.2441 0.9326
6 Na 0.3186 0.6652 0.6615
7 Na 0.3488 0.0672 0.6559
8 Na 0.3524 0.6558 0.0669
9 Na 0.3837 0.9717 0.9701
10 Na 0.6557 0.0693 0.3480
11 Na 0.6558 0.3524 0.0669
12 Na 0.6579 0.6579 0.3210
13 Na 0.6638 0.6638 0.6616
14 Na 0.6652 0.3186 0.6615
15 Na 0.9220 0.2418 0.2372
16 Na 0.9602 0.9602 0.3761
17 Na 0.9717 0.3837 0.9701
18 Cd 0.2873 0.2873 0.4661
19 Ag 0.0243 0.8418 0.6589
20 Ag 0.0263 0.6602 0.8404
21 Ag 0.2942 0.4792 0.2918
22 Ag 0.4761 0.4761 0.8348
23 Ag 0.4785 0.8400 0.4757
24 Ag 0.4792 0.2942 0.2918
25 Ag 0.6584 0.8407 0.0205
26 Ag 0.6602 0.0263 0.8404
27 Ag 0.8400 0.4785 0.4757
28 Ag 0.8407 0.6584 0.0205
29 Ag 0.8418 0.0243 0.6589